The following is a computed X-ray powder pattern of ReSeCl. It was derived from a cell relaxed with GGA-PBE, using copper Kα.
Peak positions follow from Bragg's law for the DFT cell and can differ from measured ones.

Cell and atoms:
```
ReSeCl
1.0
5.8310 -7.7007 0.0000
5.8310 7.7007 0.0000
0.0000 0.0000 11.3409
Re Se Cl
12 12 12
Cartesian
4.1702 3.9106 7.6645
5.8310 5.7783 8.5056
5.0048 3.9055 10.1757
6.6572 3.9055 6.8356
5.8310 2.0387 8.5056
7.4918 3.9106 9.3468
4.1702 -3.9106 3.6764
5.8310 -2.0387 2.8352
5.0048 -3.9055 1.1652
6.6572 -3.9055 4.5052
5.8310 -5.7783 2.8352
7.4918 -3.9106 1.9941
5.0348 5.6593 6.0905
2.4122 2.0118 3.6503
6.6272 5.6593 10.9208
5.0155 2.1200 6.0874
2.4122 -2.0118 7.6905
6.6464 2.1200 10.9239
5.0155 -2.1200 5.2535
9.2497 2.0118 2.0201
6.6464 -2.1200 0.4170
5.0348 -5.6593 5.2503
9.2497 -2.0118 9.3207
6.6272 -5.6593 0.4201
5.8310 7.2411 2.8352
3.9915 3.7732 1.1160
3.4978 2.0901 9.2852
7.6705 3.7732 4.5544
3.4978 -2.0901 2.0556
5.8310 0.3155 2.8352
5.8310 -0.3155 8.5056
8.1642 2.0901 7.7261
3.9915 -3.7732 10.2249
8.1642 -2.0901 3.6148
7.6705 -3.7732 6.7864
5.8310 -7.2411 8.5056
```

Most intense lines, 15° ≤ 2θ ≤ 90°, in order of rising 2θ:
2theta	I/Imax
15.19	100
15.63	45
32.89	49
36.71	40
38.74	40
39.47	49
39.58	56
42.55	83
44.40	54
47.21	58